Diffraction record for AcHgP2Pt7. The X-ray powder pattern is calculated, not measured: it uses a DFT-relaxed cell (GGA-PBE, Alexandria) and Cu Kα.
Intensities are scaled so that the largest is 100.

Principal peaks in the range 2θ from 10° to 90°, low angle first:
2θ/deg, Rel. int., h k l
23.42, 24, 1 0 3
29.76, 11, 0 0 10
33.08, 14, 1 1 4
35.75, 100, 1 1 6
35.90, 14, 0 0 12
43.35, 11, 1 1 10
44.10, 37, 2 0 0
58.12, 14, 2 0 12
64.14, 12, 2 2 0
75.68, 30, 3 1 6

Atomic structure:
```
data_AcHgP2Pt7
_cell_length_a 4.107
_cell_length_b 4.107
_cell_length_c 30.021
_cell_angle_alpha 90.00
_cell_angle_beta 90.00
_cell_angle_gamma 90.00
_space_group_name_H-M_alt 'I -4 m 2'
_space_group_IT_number 119
_space_group_name_Hall 'I -4 -2'
loop_
_atom_site_label
_atom_site_fract_x
_atom_site_fract_y
_atom_site_fract_z
Ac1 0.000 0.000 0.000
Hg1 0.000 0.500 0.250
P1 0.000 0.000 0.380
Pt1 0.000 0.000 0.308
Pt2 0.000 0.000 0.500
Pt3 0.000 0.500 0.081
Pt4 0.000 0.500 0.581
```